Simulated powder diffraction line list
Compound: CaCu2O4
Radiation: Cu Kα, 1.54184 Å
Structure: a cell relaxed with PBE
Neutral-atom scattering factors, no anomalous dispersion.

Structure:
a = 9.0283 Å, b = 3.0626 Å, c = 10.5989 Å
α = 90.00°, β = 90.00°, γ = 90.00°
Space group Pnma (No. 62)
Unique sites:
Ca1 0.2416 0.2500 0.1603 x4
Cu1 0.0606 0.2500 0.3870 x4
Cu2 0.0834 0.2500 0.8990 x4
O1 0.0255 0.7500 0.7843 x4
O2 0.0823 0.2500 0.5742 x4
O3 0.1175 0.7500 0.0247 x4
O4 0.2062 0.7500 0.3399 x4

Peak list (6 most intense, 2θ from 10° to 90°, low angle first)
2θ = 19.67°, I 29; 2θ = 33.83°, I 51; 2θ = 34.27°, I 100; 2θ = 35.28°, I 97; 2θ = 35.42°, I 42; 2θ = 49.77°, I 50

Simulated powder diffraction line list
Compound: CaCu2O4
Radiation: Cu Kα, 1.54184 Å
Structure: a cell relaxed with PBE
Neutral-atom scattering factors, no anomalous dispersion.

Structure:
a = 6.2192 Å, b = 6.3269 Å, c = 8.4606 Å
α = 90.00°, β = 90.00°, γ = 90.00°
Space group Imma (No. 74)
Unique sites:
Ca1 0.0000 0.0000 0.0000 x4
Cu1 0.0000 0.2500 0.3914 x4
Cu2 0.2500 0.2500 0.7500 x4
O1 0.0000 0.0077 0.7291 x8
O2 0.2464 0.2500 0.5296 x8

Peak list (6 most intense, 2θ from 10° to 90°, low angle first)
2θ = 29.17°, I 48; 2θ = 33.50°, I 63; 2θ = 33.82°, I 100; 2θ = 34.83°, I 44; 2θ = 53.61°, I 27; 2θ = 60.49°, I 58

Simulated powder diffraction line list
Compound: Ca2CuO3
Radiation: Cu Kα, 1.54184 Å
Structure: a cell relaxed with PBE
Neutral-atom scattering factors, no anomalous dispersion.

Structure:
a = 3.3125 Å, b = 3.3891 Å, c = 18.0919 Å
α = 90.00°, β = 90.00°, γ = 90.00°
Space group Immm (No. 71)
Unique sites:
Ca1 0.0000 0.0000 0.1822 x4
Cu1 0.0000 0.0000 0.0000 x2
O1 0.0000 0.0000 0.3110 x4
O2 0.0000 0.5000 0.0000 x2

Peak list (6 most intense, 2θ from 10° to 90°, low angle first)
2θ = 19.63°, I 50; 2θ = 27.37°, I 89; 2θ = 29.63°, I 100; 2θ = 36.79°, I 54; 2θ = 37.98°, I 89; 2θ = 48.89°, I 59